Entry 1:
This entry pairs a crystal structure of RePb4 with its theoretical powder XRD pattern. Radiation: Cu Kα (weighted mean of Kα1 and Kα2). Structure: a structure optimized by DFT (GGA-PBE).
Neutral-atom scattering factors, no anomalous dispersion.

Principal peaks in the range 10° ≤ 2θ ≤ 90°, in order of rising 2θ:
| Position (°2θ) | intensity |
| --- | --- |
| 28.68 | 77.7 |
| 33.24 | 100.0 |
| 47.71 | 74.4 |
| 56.62 | 36.5 |
| 79.51 | 35.0 |
| 88.94 | 27.8 |

Structure:
```
data_RePb4
_symmetry_space_group_name_H-M 'P 1'
_symmetry_Int_Tables_number 1
_symmetry_space_group_name_Hall 'P 1'
_cell_length_a 5.3914
_cell_length_b 5.3914
_cell_length_c 5.3914
_cell_angle_alpha 90.00
_cell_angle_beta 90.00
_cell_angle_gamma 90.00
loop_
_atom_site_label
_atom_site_fract_x
_atom_site_fract_y
_atom_site_fract_z
Re1 0.0000 0.0000 0.0000
Pb1 0.0000 0.0000 0.5000
Pb2 0.0000 0.5000 0.0000
Pb3 0.5000 0.0000 0.0000
Pb4 0.5000 0.5000 0.5000
```

Entry 2:
This entry pairs a crystal structure of ErZrTe3 with its theoretical powder XRD pattern. Radiation: Cu Kα (weighted mean of Kα1 and Kα2). Structure: a structure optimized by DFT (GGA-PBE).
Neutral-atom scattering factors, no anomalous dispersion.

Principal peaks in the range 10° ≤ 2θ ≤ 90°, in order of rising 2θ:
| Position (°2θ) | intensity |
| --- | --- |
| 16.39 | 22.5 |
| 25.04 | 42.6 |
| 34.71 | 100.0 |
| 44.11 | 33.4 |
| 57.31 | 22.0 |
| 75.04 | 18.6 |

Structure:
```
data_ErZrTe3
_symmetry_space_group_name_H-M 'P 1'
_symmetry_Int_Tables_number 1
_symmetry_space_group_name_Hall 'P 1'
_cell_length_a 8.5720
_cell_length_b 8.5720
_cell_length_c 8.5720
_cell_angle_alpha 49.02
_cell_angle_beta 49.02
_cell_angle_gamma 49.02
loop_
_atom_site_label
_atom_site_fract_x
_atom_site_fract_y
_atom_site_fract_z
Er1 0.1630 0.1630 0.1630
Er2 0.8370 0.8370 0.8370
Zr1 0.3339 0.3339 0.3339
Zr2 0.6661 0.6661 0.6661
Te1 0.0729 0.4371 0.7339
Te2 0.2661 0.5629 0.9271
Te3 0.4371 0.7339 0.0729
Te4 0.5629 0.9271 0.2661
Te5 0.7339 0.0729 0.4371
Te6 0.9271 0.2661 0.5629
```

Entry 3:
This entry pairs a crystal structure of BaSiCl6 with its theoretical powder XRD pattern. Radiation: Cu Kα (weighted mean of Kα1 and Kα2). Structure: a structure optimized by DFT (GGA-PBE).
Neutral-atom scattering factors, no anomalous dispersion.

Principal peaks in the range 10° ≤ 2θ ≤ 90°, in order of rising 2θ:
| Position (°2θ) | intensity |
| --- | --- |
| 18.34 | 100.0 |
| 30.34 | 67.4 |
| 30.46 | 34.0 |
| 33.81 | 25.3 |
| 36.24 | 63.8 |
| 36.30 | 32.0 |

Structure:
```
data_BaSiCl6
_symmetry_space_group_name_H-M 'P 1'
_symmetry_Int_Tables_number 1
_symmetry_space_group_name_Hall 'P 1'
_cell_length_a 6.1932
_cell_length_b 6.1932
_cell_length_c 6.1645
_cell_angle_alpha 102.84
_cell_angle_beta 102.84
_cell_angle_gamma 103.20
loop_
_atom_site_label
_atom_site_fract_x
_atom_site_fract_y
_atom_site_fract_z
Ba1 0.0000 0.0000 0.0000
Si1 0.5000 0.5000 0.5000
Cl1 0.2273 0.2273 0.5537
Cl2 0.2275 0.5511 0.2271
Cl3 0.4489 0.7725 0.7729
Cl4 0.5511 0.2275 0.2271
Cl5 0.7725 0.4489 0.7729
Cl6 0.7727 0.7727 0.4463
```

Entry 4:
This entry pairs a crystal structure of Ti8SiC2 with its theoretical powder XRD pattern. Radiation: Cu Kα (weighted mean of Kα1 and Kα2). Structure: a structure optimized by DFT (GGA-PBE).
Neutral-atom scattering factors, no anomalous dispersion.

Principal peaks in the range 10° ≤ 2θ ≤ 90°, in order of rising 2θ:
| Position (°2θ) | intensity |
| --- | --- |
| 34.30 | 23.4 |
| 37.10 | 87.1 |
| 40.43 | 100.0 |
| 42.47 | 50.7 |
| 43.43 | 73.3 |
| 43.62 | 37.6 |

Structure:
```
data_Ti8SiC2
_symmetry_space_group_name_H-M 'P 1'
_symmetry_Int_Tables_number 1
_symmetry_space_group_name_Hall 'P 1'
_cell_length_a 6.3087
_cell_length_b 6.3087
_cell_length_c 4.2635
_cell_angle_alpha 95.98
_cell_angle_beta 95.98
_cell_angle_gamma 113.42
loop_
_atom_site_label
_atom_site_fract_x
_atom_site_fract_y
_atom_site_fract_z
Ti1 0.0960 0.0960 0.8067
Ti2 0.1685 0.4266 0.4412
Ti3 0.2484 0.7516 0.0000
Ti4 0.4266 0.1685 0.4412
Ti5 0.5734 0.8315 0.5588
Ti6 0.7516 0.2484 0.0000
Ti7 0.8315 0.5734 0.5588
Ti8 0.9040 0.9040 0.1933
Si1 0.5000 0.5000 0.0000
C1 0.1927 0.8073 0.5000
C2 0.8073 0.1927 0.5000
```

Entry 5:
This entry pairs a crystal structure of Sm2Pd6Pt with its theoretical powder XRD pattern. Radiation: Cu Kα (weighted mean of Kα1 and Kα2). Structure: a structure optimized by DFT (GGA-PBE).
Neutral-atom scattering factors, no anomalous dispersion.

Principal peaks in the range 10° ≤ 2θ ≤ 90°, in order of rising 2θ:
| Position (°2θ) | intensity |
| --- | --- |
| 37.14 | 99.1 |
| 37.59 | 100.0 |
| 42.65 | 33.6 |
| 43.73 | 32.8 |
| 43.86 | 30.4 |
| 62.73 | 23.0 |

Structure:
```
data_Sm2Pd6Pt
_symmetry_space_group_name_H-M 'P 1'
_symmetry_Int_Tables_number 1
_symmetry_space_group_name_Hall 'P 1'
_cell_length_a 6.5303
_cell_length_b 6.5303
_cell_length_c 6.7224
_cell_angle_alpha 107.89
_cell_angle_beta 107.89
_cell_angle_gamma 36.96
loop_
_atom_site_label
_atom_site_fract_x
_atom_site_fract_y
_atom_site_fract_z
Sm1 0.0643 0.0643 0.3167
Sm2 0.9357 0.9357 0.6833
Pd1 0.1713 0.1713 0.9971
Pd2 0.2747 0.2747 0.6803
Pd3 0.3837 0.3837 0.3225
Pd4 0.6163 0.6163 0.6775
Pd5 0.7253 0.7253 0.3197
Pd6 0.8287 0.8287 0.0029
Pt1 0.5000 0.5000 0.0000
```

Entry 6:
This entry pairs a crystal structure of Ca2NpSe4 with its theoretical powder XRD pattern. Radiation: Cu Kα (weighted mean of Kα1 and Kα2). Structure: a structure optimized by DFT (GGA-PBE).
Neutral-atom scattering factors, no anomalous dispersion.

Principal peaks in the range 10° ≤ 2θ ≤ 90°, in order of rising 2θ:
| Position (°2θ) | intensity |
| --- | --- |
| 14.18 | 62.6 |
| 20.21 | 25.8 |
| 24.77 | 25.7 |
| 31.92 | 56.6 |
| 32.19 | 78.3 |
| 38.24 | 100.0 |

Structure:
```
data_Ca2NpSe4
_symmetry_space_group_name_H-M 'P 1'
_symmetry_Int_Tables_number 1
_symmetry_space_group_name_Hall 'P 1'
_cell_length_a 7.6365
_cell_length_b 7.6365
_cell_length_c 7.6365
_cell_angle_alpha 109.74
_cell_angle_beta 109.74
_cell_angle_gamma 108.93
loop_
_atom_site_label
_atom_site_fract_x
_atom_site_fract_y
_atom_site_fract_z
Ca1 0.3750 0.2443 0.3693
Ca2 0.7557 0.1250 0.1307
Ca3 0.8750 0.0057 0.6307
Ca4 0.9943 0.6250 0.8693
Np1 0.2500 0.7500 0.5000
Np2 0.5000 0.5000 0.0000
Se1 0.1365 0.3859 0.1169
Se2 0.1359 0.3865 0.6169
Se3 0.2690 0.0196 0.8831
Se4 0.4810 0.8641 0.2506
Se5 0.6135 0.2304 0.7494
Se6 0.6141 0.7310 0.7506
Se7 0.7696 0.5190 0.3831
Se8 0.9804 0.8635 0.2494
```